Record 1
Starting from a DFT-relaxed cell (PBE, Alexandria), the powder X-ray diffraction pattern of PrBi2P2Pt7 was simulated for a wavelength of 1.5418 Å.
Kinematic intensities with the Lorentz-polarization factor, no thermal factor.

Cell and atoms:
a = 15.222 Å, b = 15.222 Å, c = 15.222 Å
α = 164.68°, β = 164.68°, γ = 21.73°
Positions (direct):
Pr: 0.000 0.000 0.000
Bi: 0.211 0.211 0.000
Bi: 0.789 0.789 0.000
P: 0.382 0.382 0.000
P: 0.618 0.618 0.000
Pt: 0.077 0.577 0.500
Pt: 0.305 0.305 0.000
Pt: 0.423 0.923 0.500
Pt: 0.500 0.500 0.000
Pt: 0.577 0.077 0.500
Pt: 0.695 0.695 0.000
Pt: 0.923 0.423 0.500

Principal peaks in the range 15° ≤ 2θ ≤ 90°, in order of rising 2θ:
d 3.737, rel. 24
d 2.990, rel. 34
d 2.818, rel. 54
d 2.679, rel. 57
d 2.487, rel. 100
d 2.070, rel. 37
d 2.029, rel. 71
d 1.881, rel. 31
d 1.679, rel. 26
d 1.435, rel. 24


Record 2
Starting from a DFT-relaxed cell (PBE, Alexandria), the powder X-ray diffraction pattern of BiP2Pt8 was simulated for a wavelength of 1.5418 Å.
Kinematic intensities with the Lorentz-polarization factor, no thermal factor.

Cell and atoms:
a = 7.671 Å, b = 7.671 Å, c = 4.880 Å
α = 105.46°, β = 105.46°, γ = 42.56°
Positions (direct):
Bi: 0.000 0.000 0.000
P: 0.226 0.226 0.823
P: 0.774 0.774 0.177
Pt: 0.156 0.644 0.415
Pt: 0.223 0.223 0.298
Pt: 0.356 0.844 0.585
Pt: 0.395 0.395 0.911
Pt: 0.605 0.605 0.089
Pt: 0.644 0.156 0.415
Pt: 0.777 0.777 0.702
Pt: 0.844 0.356 0.585

Principal peaks in the range 15° ≤ 2θ ≤ 90°, in order of rising 2θ:
d 2.559, rel. 53
d 2.458, rel. 64
d 2.450, rel. 50
d 2.436, rel. 87
d 2.392, rel. 80
d 2.369, rel. 100
d 2.331, rel. 26
d 2.283, rel. 24
d 2.160, rel. 35
d 1.687, rel. 26


Record 3
Starting from a DFT-relaxed cell (PBE, Alexandria), the powder X-ray diffraction pattern of PuBi2P2Pt7 was simulated for a wavelength of 1.5418 Å.
Kinematic intensities with the Lorentz-polarization factor, no thermal factor.

Cell and atoms:
a = 15.211 Å, b = 15.211 Å, c = 15.211 Å
α = 164.77°, β = 164.77°, γ = 21.60°
Positions (direct):
Pu: 0.000 0.000 0.000
Bi: 0.211 0.211 0.000
Bi: 0.789 0.789 0.000
P: 0.382 0.382 0.000
P: 0.618 0.618 0.000
Pt: 0.075 0.575 0.500
Pt: 0.306 0.306 0.000
Pt: 0.425 0.925 0.500
Pt: 0.500 0.500 0.000
Pt: 0.575 0.075 0.500
Pt: 0.694 0.694 0.000
Pt: 0.925 0.425 0.500

Principal peaks in the range 15° ≤ 2θ ≤ 90°, in order of rising 2θ:
d 2.988, rel. 33
d 2.800, rel. 38
d 2.663, rel. 59
d 2.474, rel. 100
d 2.063, rel. 44
d 2.016, rel. 69
d 1.671, rel. 24
d 1.465, rel. 29
d 1.425, rel. 23
d 1.235, rel. 23


Record 4
Starting from a DFT-relaxed cell (PBE, Alexandria), the powder X-ray diffraction pattern of ThBi2P2Pt7 was simulated for a wavelength of 1.5418 Å.
Kinematic intensities with the Lorentz-polarization factor, no thermal factor.

Cell and atoms:
a = 15.242 Å, b = 15.242 Å, c = 15.242 Å
α = 164.65°, β = 164.65°, γ = 21.78°
Positions (direct):
Th: 0.000 0.000 0.000
Bi: 0.211 0.211 0.000
Bi: 0.789 0.789 0.000
P: 0.381 0.381 0.000
P: 0.619 0.619 0.000
Pt: 0.076 0.576 0.500
Pt: 0.305 0.305 0.000
Pt: 0.424 0.924 0.500
Pt: 0.500 0.500 0.000
Pt: 0.576 0.076 0.500
Pt: 0.695 0.695 0.000
Pt: 0.924 0.424 0.500

Principal peaks in the range 15° ≤ 2θ ≤ 90°, in order of rising 2θ:
d 2.993, rel. 34
d 2.828, rel. 39
d 2.687, rel. 60
d 2.494, rel. 100
d 2.075, rel. 40
d 2.036, rel. 69
d 1.684, rel. 26
d 1.475, rel. 25
d 1.440, rel. 28
d 1.247, rel. 26


Record 5
Starting from a DFT-relaxed cell (PBE, Alexandria), the powder X-ray diffraction pattern of SmBiP2Rh5 was simulated for a wavelength of 1.5418 Å.
Kinematic intensities with the Lorentz-polarization factor, no thermal factor.

Cell and atoms:
a = 4.056 Å, b = 4.056 Å, c = 10.445 Å
α = 90.00°, β = 90.00°, γ = 90.00°
Positions (direct):
Sm: 0.000 0.000 0.000
Bi: 0.000 0.000 0.500
P: 0.500 0.500 0.216
P: 0.500 0.500 0.784
Rh: 0.000 0.500 0.315
Rh: 0.000 0.500 0.685
Rh: 0.500 0.000 0.315
Rh: 0.500 0.000 0.685
Rh: 0.500 0.500 0.000

Principal peaks in the range 15° ≤ 2θ ≤ 90°, in order of rising 2θ:
d 3.781, rel. 19
d 3.482, rel. 21
d 3.203, rel. 37
d 2.514, rel. 100
d 2.214, rel. 21
d 2.028, rel. 49
d 1.931, rel. 26
d 1.434, rel. 16
d 1.321, rel. 16
d 1.246, rel. 22


Record 6
Starting from a DFT-relaxed cell (PBE, Alexandria), the powder X-ray diffraction pattern of Th2BiPRh6 was simulated for a wavelength of 1.5418 Å.
Kinematic intensities with the Lorentz-polarization factor, no thermal factor.

Cell and atoms:
a = 5.637 Å, b = 8.672 Å, c = 8.288 Å
α = 90.00°, β = 90.00°, γ = 90.00°
Positions (direct):
Th: 0.250 0.018 0.247
Th: 0.250 0.482 0.247
Th: 0.750 0.518 0.753
Th: 0.750 0.982 0.753
Bi: 0.250 0.250 0.704
Bi: 0.750 0.750 0.296
P: 0.250 0.750 0.784
P: 0.750 0.250 0.216
Rh: 0.001 0.250 0.991
Rh: 0.002 0.750 0.567
Rh: 0.250 0.504 0.899
Rh: 0.250 0.996 0.899
Rh: 0.498 0.750 0.567
Rh: 0.499 0.250 0.991
Rh: 0.501 0.750 0.009
Rh: 0.502 0.250 0.433
Rh: 0.750 0.004 0.101
Rh: 0.750 0.496 0.101
Rh: 0.998 0.250 0.433
Rh: 0.999 0.750 0.009

Principal peaks in the range 15° ≤ 2θ ≤ 90°, in order of rising 2θ:
d 4.726, rel. 21
d 3.175, rel. 100
d 2.996, rel. 41
d 2.481, rel. 22
d 2.363, rel. 54
d 2.330, rel. 77
d 2.168, rel. 49
d 2.153, rel. 74
d 1.587, rel. 37
d 1.463, rel. 23


Record 7
Starting from a DFT-relaxed cell (PBE, Alexandria), the powder X-ray diffraction pattern of Y3BiP2Rh9 was simulated for a wavelength of 1.5418 Å.
Kinematic intensities with the Lorentz-polarization factor, no thermal factor.

Cell and atoms:
a = 6.050 Å, b = 6.050 Å, c = 9.487 Å
α = 90.00°, β = 90.00°, γ = 120.00°
Positions (direct):
Y: 0.000 0.000 0.000
Y: 0.333 0.667 0.735
Y: 0.667 0.333 0.265
Bi: 0.000 0.000 0.500
P: 0.333 0.667 0.157
P: 0.667 0.333 0.843
Rh: 0.000 0.500 0.000
Rh: 0.151 0.303 0.266
Rh: 0.151 0.849 0.266
Rh: 0.303 0.151 0.734
Rh: 0.500 0.000 0.000
Rh: 0.500 0.500 0.000
Rh: 0.697 0.849 0.266
Rh: 0.849 0.151 0.734
Rh: 0.849 0.697 0.734

Principal peaks in the range 15° ≤ 2θ ≤ 90°, in order of rising 2θ:
d 5.240, rel. 23
d 4.587, rel. 35
d 2.525, rel. 57
d 2.372, rel. 30
d 2.293, rel. 100
d 2.017, rel. 29
d 1.537, rel. 15
d 1.513, rel. 26
d 1.354, rel. 18
d 1.275, rel. 22


Record 8
Starting from a DFT-relaxed cell (PBE, Alexandria), the powder X-ray diffraction pattern of BiPRu was simulated for a wavelength of 1.5418 Å.
Kinematic intensities with the Lorentz-polarization factor, no thermal factor.

Cell and atoms:
a = 3.337 Å, b = 5.644 Å, c = 6.514 Å
α = 87.89°, β = 75.26°, γ = 89.87°
Positions (direct):
Bi: 0.155 0.327 0.196
Bi: 0.845 0.673 0.804
P: 0.452 0.165 0.594
P: 0.548 0.835 0.406
Ru: 0.172 0.841 0.158
Ru: 0.828 0.159 0.842

Principal peaks in the range 15° ≤ 2θ ≤ 90°, in order of rising 2θ:
d 4.281, rel. 13
d 3.226, rel. 27
d 3.148, rel. 24
d 2.820, rel. 16
d 2.789, rel. 15
d 2.612, rel. 100
d 2.539, rel. 35
d 2.141, rel. 17
d 2.133, rel. 38
d 2.098, rel. 16